Simulated XRD peak list of Rb2VInO5 for Cu Kα, from DFT lattice parameters and positions (PBE+U).
Peak positions follow from Bragg's law for the DFT cell and can differ from measured ones.

Most intense lines, 2θ from 10° to 90°, by angle:
Position (°2θ), I_rel, h k l
19.34, 25.8, 0 2 2
25.78, 53.9, 1 1 1
27.39, 100.0, 0 4 2
30.31, 77.5, 1 3 1
31.96, 38.4, 0 0 4
34.45, 40.8, 1 1 3
38.04, 38.4, 1 3 3
47.33, 33.8, 1 7 1
48.84, 25.0, 2 0 0
56.90, 24.7, 2 4 2

Structural model:
```
data_Rb2VInO5
_cell_length_a 3.730
_cell_length_b 16.006
_cell_length_c 11.202
_cell_angle_alpha 90.00
_cell_angle_beta 90.00
_cell_angle_gamma 90.00
_symmetry_space_group_name_H-M 'C m c 21'
_symmetry_Int_Tables_number 36
loop_
_symmetry_equiv_pos_as_xyz
'x,y,z'
'-x,-y,z+1/2'
'-x,y,z'
'x,-y,z+1/2'
'x+1/2,y+1/2,z'
'-x+1/2,-y+1/2,z+1/2'
'-x+1/2,y+1/2,z'
'x+1/2,-y+1/2,z+1/2'
loop_
_atom_site_label
_atom_site_type_symbol
_atom_site_fract_x
_atom_site_fract_y
_atom_site_fract_z
_atom_site_occupancy
Rb1 Rb 0.000 0.041 0.000 1
Rb2 Rb 0.000 0.113 0.710 1
V1 V 0.000 0.355 0.764 1
In1 In 0.000 0.251 0.451 1
O1 O 0.000 0.152 0.298 1
O2 O 0.000 0.285 0.646 1
O3 O 0.000 0.316 0.943 1
O4 O 0.000 0.367 0.382 1
O5 O 0.000 0.454 0.709 1
```